Starting from a crystal structure in the Materials Project, relaxed with PBE+U, the X-ray powder pattern of Ba2CrO4 was simulated for Cu Kα X-rays.
Neutral-atom scattering factors, no anomalous dispersion.

Largest 8 diffraction maxima, low angle first, 2θ = 5–70°:
2θ (°), intensity, (hkl)
25.1, 58, 1 1 2
27.5, 52, 2 1 0
28.5, 36, 2 0 2
28.7, 76, 2 1 1
29.1, 100, 0 1 3
29.8, 75, 0 2 0
41.6, 30, 2 2 2
51.5, 32, 3 1 4

Crystal structure
Lattice parameters (Å, degrees): 7.7348 6.0051 10.7126 90.00 90.00 90.00
Atoms (fractional coordinates):
Ba: 0.0047 0.2500 0.1962
Ba: 0.1508 0.7500 0.4293
Ba: 0.3492 0.2500 0.9293
Ba: 0.4953 0.7500 0.6962
Ba: 0.5047 0.2500 0.3038
Ba: 0.6508 0.7500 0.0707
Ba: 0.8492 0.2500 0.5707
Ba: 0.9953 0.7500 0.8038
Cr: 0.2184 0.7500 0.0785
Cr: 0.2816 0.2500 0.5785
Cr: 0.7184 0.7500 0.4215
Cr: 0.7816 0.2500 0.9215
O: 0.0115 0.2500 0.9213
O: 0.1884 0.2500 0.4216
O: 0.1912 0.0035 0.6478
O: 0.1912 0.4965 0.6478
O: 0.3088 0.5035 0.1478
O: 0.3088 0.9965 0.1478
O: 0.3116 0.7500 0.9216
O: 0.4885 0.7500 0.4213
O: 0.5115 0.2500 0.5787
O: 0.6884 0.2500 0.0784
O: 0.6912 0.0035 0.8522
O: 0.6912 0.4965 0.8522
O: 0.8088 0.5035 0.3522
O: 0.8088 0.9965 0.3522
O: 0.8116 0.7500 0.5784
O: 0.9885 0.7500 0.0787